[1]
Theoretical PXRD pattern
Compound: Li3Mn8O16
Radiation: CuKα
Structure: DFT lattice parameters and positions (PBE+U)
Intensities are scaled so that the largest is 100.

Cell and atoms:
a = 5.976 Å, b = 12.067 Å, c = 8.191 Å
α = 90.00°, β = 90.00°, γ = 90.00°
Space group Pmmn (No. 59, origin choice 2)
Unique sites:
Li (0.250, 0.007, 0.129) x4
Li (0.250, 0.750, 0.369) x2
Mn (0.000, 0.000, 0.500) x4
Mn (0.001, 0.750, 0.999) x4
Mn (0.250, 0.124, 0.753) x4
Mn (0.250, 0.628, 0.747) x4
O (0.014, 0.250, 0.769) x4
O (0.024, 0.512, 0.735) x8
O (0.037, 0.750, 0.760) x4
O (0.250, 0.104, 0.519) x4
O (0.250, 0.139, 0.988) x4
O (0.250, 0.609, 0.506) x4
O (0.250, 0.636, 0.983) x4

Main lines, low angle first (2θ from 5° to 70°):
- 2θ 18.26, I 100, hkl 0 2 1
- 2θ 18.38, I 93, hkl 1 0 1
- 2θ 35.08, I 29, hkl 1 4 1
- 2θ 35.27, I 27, hkl 2 2 1
- 2θ 36.14, I 26, hkl 0 2 3
- 2θ 42.59, I 71, hkl 2 4 0
- 2θ 44.23, I 32, hkl 0 0 4
- 2θ 56.27, I 12, hkl 2 6 1
- 2θ 56.49, I 11, hkl 3 4 1
- 2θ 63.08, I 38, hkl 2 4 4



[2]
Theoretical PXRD pattern
Compound: K2W2O7
Radiation: CuKα
Structure: DFT lattice parameters and positions (PBE+U)
Intensities are scaled so that the largest is 100.

Cell and atoms:
a = 6.204 Å, b = 14.088 Å, c = 3.887 Å
α = 90.00°, β = 90.00°, γ = 90.00°
Space group Pbam (No. 55)
Unique sites:
K (0.172, 0.170, 0.000) x4
W (0.216, 0.436, 0.500) x4
O (0.000, 0.000, 0.500) x2
O (0.088, 0.581, 0.500) x4
O (0.193, 0.815, 0.500) x4
O (0.224, 0.447, 0.000) x4

Main lines, low angle first (2θ from 5° to 70°):
- 2θ 12.57, I 100, hkl 0 2 0
- 2θ 19.06, I 62, hkl 1 2 0
- 2θ 22.88, I 46, hkl 0 0 1
- 2θ 26.18, I 48, hkl 0 2 1
- 2θ 28.78, I 39, hkl 2 0 0
- 2θ 29.16, I 75, hkl 1 4 0
- 2θ 29.95, I 78, hkl 1 2 1
- 2θ 37.38, I 22, hkl 1 4 1
- 2θ 46.74, I 19, hkl 0 0 2
- 2θ 56.04, I 24, hkl 1 4 2